(1)
For Y4Er3In, a structure optimized by DFT (GGA-PBE) gives the simulated powder X-ray diffraction pattern in this record (Cu Kα (λ = 1.5418 Å)).

Atomic structure:
Unit cell a=5.3062 b=10.8322 c=8.5088 alpha=90.00 beta=90.00 gamma=90.00
Space group Pmmn (No. 59, origin choice 2)
Symmetry-distinct sites (fractional):
Y1 0.2500 0.0013 0.1424 (multiplicity 4)
Y2 0.2500 0.2500 0.8458 (multiplicity 2)
Y3 0.2500 0.7500 0.8801 (multiplicity 2)
Er1 0.2500 0.2500 0.4017 (multiplicity 2)
Er2 0.2500 0.5295 0.6042 (multiplicity 4)
In1 0.2500 0.7500 0.3606 (multiplicity 2)

The 10 most intense peaks (10° ≤ 2θ ≤ 80°), in order of falling intensity:
31.6°, I 100, hkl 1 2 2; 33.8°, I 23, hkl 2 0 0; 10.4°, I 21, hkl 0 0 1; 33.1°, I 21, hkl 0 4 0; 59.1°, I 17, hkl 3 2 2; 48.0°, I 14, hkl 2 4 0; 58.2°, I 12, hkl 1 6 2; 42.5°, I 9, hkl 0 0 4; 55.4°, I 8, hkl 2 0 4; 66.0°, I 8, hkl 2 4 4

=====

(2)
For Y7ErIn4, a structure optimized by DFT (GGA-PBE) gives the simulated powder X-ray diffraction pattern in this record (Cu Kα (λ = 1.5418 Å)).

Atomic structure:
Unit cell a=14.5229 b=5.6554 c=10.4875 alpha=90.00 beta=123.89 gamma=90.00
Space group C2/m (No. 12)
Symmetry-distinct sites (fractional):
Y1 0.0000 0.0000 0.0000 (multiplicity 2)
Y2 0.0636 0.5000 0.3938 (multiplicity 4)
Y3 0.2110 0.5000 0.8787 (multiplicity 4)
Y4 0.2195 0.0000 0.6615 (multiplicity 4)
Er1 0.0000 0.5000 0.0000 (multiplicity 2)
In1 0.0601 0.0000 0.7572 (multiplicity 4)
In2 0.1814 0.0000 0.3342 (multiplicity 4)

The 10 most intense peaks (10° ≤ 2θ ≤ 80°), in order of falling intensity:
31.6°, I 100, hkl 0 2 0; 36.3°, I 94, hkl 5 1 -1; 29.9°, I 52, hkl 1 1 2; 28.4°, I 52, hkl 4 0 -3; 30.5°, I 41, hkl 3 1 -3; 33.3°, I 35, hkl 3 1 1; 43.0°, I 33, hkl 4 2 -3; 30.8°, I 23, hkl 0 0 3; 35.2°, I 23, hkl 2 0 -4; 59.4°, I 22, hkl 5 3 -1

=====

(3)
For Y3Er2In, a structure optimized by DFT (GGA-PBE) gives the simulated powder X-ray diffraction pattern in this record (Cu Kα (λ = 1.5418 Å)).

Atomic structure:
Unit cell a=4.8824 b=15.0493 c=4.8395 alpha=90.00 beta=90.00 gamma=90.00
Space group Cmmm (No. 65)
Symmetry-distinct sites (fractional):
Y1 0.0000 0.0000 0.0000 (multiplicity 2)
Y2 0.0000 0.3321 0.0000 (multiplicity 4)
Er1 0.0000 0.1628 0.5000 (multiplicity 4)
In1 0.0000 0.5000 0.5000 (multiplicity 2)

The 10 most intense peaks (10° ≤ 2θ ≤ 80°), in order of falling intensity:
31.6°, I 100, hkl 1 3 1; 35.8°, I 18, hkl 0 6 0; 36.8°, I 16, hkl 2 0 0; 37.2°, I 16, hkl 0 0 2; 61.7°, I 14, hkl 1 9 1; 63.0°, I 13, hkl 3 3 1; 63.5°, I 13, hkl 1 3 3; 52.3°, I 12, hkl 2 6 0; 65.9°, I 12, hkl 2 6 2; 52.6°, I 12, hkl 0 6 2

=====

(4)
For YEr6In2, a structure optimized by DFT (GGA-PBE) gives the simulated powder X-ray diffraction pattern in this record (Cu Kα (λ = 1.5418 Å)).

Atomic structure:
Unit cell a=12.6087 b=3.7109 c=11.8407 alpha=90.00 beta=108.29 gamma=90.00
Space group C2/m (No. 12)
Symmetry-distinct sites (fractional):
Y1 0.0000 0.0000 0.0000 (multiplicity 2)
Er1 0.0143 0.0000 0.3427 (multiplicity 4)
Er2 0.1840 0.5000 0.8760 (multiplicity 4)
Er3 0.1885 0.5000 0.5829 (multiplicity 4)
In1 0.1446 0.5000 0.2088 (multiplicity 4)

The 10 most intense peaks (10° ≤ 2θ ≤ 80°), in order of falling intensity:
31.9°, I 100, hkl 4 0 -3; 33.1°, I 93, hkl 1 1 -3; 33.0°, I 90, hkl 3 1 0; 59.7°, I 34, hkl 4 2 -3; 57.7°, I 28, hkl 5 1 -6; 57.4°, I 23, hkl 7 1 -3; 49.1°, I 17, hkl 0 2 0; 46.0°, I 15, hkl 2 0 -6; 45.5°, I 12, hkl 6 0 0; 27.1°, I 10, hkl 1 1 1

=====

What did the third record say?
For Y3Er2In, a structure optimized by DFT (GGA-PBE) gives the simulated powder X-ray diffraction pattern in this record (Cu Kα (λ = 1.5418 Å)).

Atomic structure:
Unit cell a=4.8824 b=15.0493 c=4.8395 alpha=90.00 beta=90.00 gamma=90.00
Space group Cmmm (No. 65)
Symmetry-distinct sites (fractional):
Y1 0.0000 0.0000 0.0000 (multiplicity 2)
Y2 0.0000 0.3321 0.0000 (multiplicity 4)
Er1 0.0000 0.1628 0.5000 (multiplicity 4)
In1 0.0000 0.5000 0.5000 (multiplicity 2)

The 10 most intense peaks (10° ≤ 2θ ≤ 80°), in order of falling intensity:
31.6°, I 100, hkl 1 3 1; 35.8°, I 18, hkl 0 6 0; 36.8°, I 16, hkl 2 0 0; 37.2°, I 16, hkl 0 0 2; 61.7°, I 14, hkl 1 9 1; 63.0°, I 13, hkl 3 3 1; 63.5°, I 13, hkl 1 3 3; 52.3°, I 12, hkl 2 6 0; 65.9°, I 12, hkl 2 6 2; 52.6°, I 12, hkl 0 6 2